Calculated powder diffraction line list
Compound: Sr4Ni6F19
Radiation: Cu Kα
Structure: a cell relaxed with PBE+U

Structure:
a = 7.9262 Å, b = 7.9262 Å, c = 7.9262 Å
α = 109.47°, β = 109.47°, γ = 109.47°
Element x y z (fractional)
Sr 0.0000 0.0000 0.6711
Sr 0.0000 0.6711 0.0000
Sr 0.3289 0.3289 0.3289
Sr 0.6711 0.0000 0.0000
Ni 0.1612 0.6612 0.5000
Ni 0.3388 0.5000 0.8388
Ni 0.5000 0.1612 0.6612
Ni 0.5000 0.8388 0.3388
Ni 0.6612 0.5000 0.1612
Ni 0.8388 0.3388 0.5000
F 0.0000 0.0000 0.0000
F 0.0000 0.3376 0.3376
F 0.0000 0.6624 0.6624
F 0.0332 0.3694 0.7613
F 0.2387 0.6080 0.2719
F 0.2719 0.2387 0.6080
F 0.3361 0.9668 0.7281
F 0.3376 0.0000 0.3376
F 0.3376 0.3376 0.0000
F 0.3694 0.7613 0.0332
F 0.3920 0.6306 0.6639
F 0.6080 0.2719 0.2387
F 0.6306 0.6639 0.3920
F 0.6624 0.0000 0.6624
F 0.6624 0.6624 0.0000
F 0.6639 0.3920 0.6306
F 0.7281 0.3361 0.9668
F 0.7613 0.0332 0.3694
F 0.9668 0.7281 0.3361

Most intense lines, 2θ from 10° to 90°, in order of rising 2θ:
2θ (°), d_spacing, I_rel
23.8, 3.736, 980
30.9, 2.894, 949
36.7, 2.446, 635
41.9, 2.157, 1000
48.7, 1.868, 342
50.9, 1.795, 478
54.9, 1.671, 171
58.8, 1.570, 197
60.7, 1.525, 530
76.5, 1.245, 237